[1]
# Tb3Er2Sc5
Calculated powder diffractogram, Cu Ka. Input: a DFT-relaxed cell (PBE, Alexandria).
Kinematic intensities with the Lorentz-polarization factor, no thermal factor.

Crystal structure
```
data_Tb3Er2Sc5
_chemical_formula_sum 'Tb6 Er4 Sc10'
_cell_length_a 7.5909
_cell_length_b 8.9850
_cell_length_c 8.9949
_cell_angle_alpha 85.77
_cell_angle_beta 90.00
_cell_angle_gamma 65.23
_space_group_name_H-M_alt 'P 1'
_space_group_IT_number 1
_space_group_name_Hall 'P 1'
loop_
_atom_site_label
_atom_site_fract_x
_atom_site_fract_y
_atom_site_fract_z
_atom_site_occupancy
Tb1 0.1198 0.2516 0.3780 1
Tb2 0.2687 0.1505 0.0248 1
Tb3 0.3689 0.7484 0.1283 1
Tb4 0.6311 0.2516 0.8717 1
Tb5 0.7313 0.8495 0.9752 1
Tb6 0.8802 0.7484 0.6220 1
Er1 0.1808 0.5486 0.9229 1
Er2 0.4219 0.0516 0.6736 1
Er3 0.5781 0.9484 0.3264 1
Er4 0.8192 0.4514 0.0771 1
Sc1 0.0282 0.6471 0.2794 1
Sc2 0.0751 0.9524 0.8187 1
Sc3 0.2247 0.8464 0.4765 1
Sc4 0.3288 0.4526 0.5697 1
Sc5 0.4776 0.3492 0.2319 1
Sc6 0.5224 0.6508 0.7681 1
Sc7 0.6712 0.5474 0.4303 1
Sc8 0.7753 0.1536 0.5235 1
Sc9 0.9249 0.0476 0.1813 1
Sc10 0.9718 0.3529 0.7206 1
```

Most intense lines, 15° ≤ 2θ ≤ 90°, in order of rising 2θ:
32.24°, I 100
32.33°, I 32
37.39°, I 44
37.47°, I 22
53.84°, I 8
53.95°, I 22
54.04°, I 15
64.15°, I 13
64.28°, I 26
64.39°, I 13

=====

[2]
# Dy5Er12Th2
Calculated powder diffractogram, Cu Ka. Input: a DFT-relaxed cell (PBE, Alexandria).
Kinematic intensities with the Lorentz-polarization factor, no thermal factor.

Crystal structure
```
data_Dy5Er12Th2
_chemical_formula_sum 'Dy5 Er12 Th2'
_cell_length_a 6.0406
_cell_length_b 9.5313
_cell_length_c 11.2218
_cell_angle_alpha 70.00
_cell_angle_beta 81.93
_cell_angle_gamma 88.80
_space_group_name_H-M_alt 'P 1'
_space_group_IT_number 1
_space_group_name_Hall 'P 1'
loop_
_atom_site_label
_atom_site_fract_x
_atom_site_fract_y
_atom_site_fract_z
_atom_site_occupancy
Dy1 0.0000 0.0000 0.0000 1
Dy2 0.1065 0.9552 0.3419 1
Dy3 0.4898 0.5529 0.8311 1
Dy4 0.5102 0.4471 0.1689 1
Dy5 0.8935 0.0448 0.6581 1
Er1 0.0361 0.6888 0.6543 1
Er2 0.0803 0.3113 0.0455 1
Er3 0.1750 0.3206 0.7257 1
Er4 0.3788 0.9122 0.7854 1
Er5 0.4215 0.8148 0.1011 1
Er6 0.4303 0.1875 0.4850 1
Er7 0.5697 0.8125 0.5150 1
Er8 0.5785 0.1852 0.8989 1
Er9 0.6212 0.0878 0.2146 1
Er10 0.8250 0.6794 0.2743 1
Er11 0.9197 0.6888 0.9545 1
Er12 0.9639 0.3112 0.3457 1
Th1 0.2762 0.5668 0.4191 1
Th2 0.7238 0.4332 0.5809 1
```

Most intense lines, 15° ≤ 2θ ≤ 90°, in order of rising 2θ:
27.49°, I 22
28.93°, I 33
30.89°, I 61
31.53°, I 100
32.14°, I 63
32.32°, I 51
32.61°, I 58
33.64°, I 50
33.96°, I 67
36.05°, I 41

=====

[3]
# TlRh6
Calculated powder diffractogram, Cu Ka. Input: a DFT-relaxed cell (PBE, Alexandria).
Kinematic intensities with the Lorentz-polarization factor, no thermal factor.

Crystal structure
```
data_TlRh6
_chemical_formula_sum 'Tl1 Rh6'
_cell_length_a 5.8880
_cell_length_b 5.8880
_cell_length_c 5.8880
_cell_angle_alpha 109.47
_cell_angle_beta 109.47
_cell_angle_gamma 109.47
_space_group_name_H-M_alt 'P 1'
_space_group_IT_number 1
_space_group_name_Hall 'P 1'
loop_
_atom_site_label
_atom_site_fract_x
_atom_site_fract_y
_atom_site_fract_z
_atom_site_occupancy
Tl1 0.0000 0.0000 0.0000 1
Rh1 0.2500 0.5000 0.7500 1
Rh2 0.2500 0.7500 0.5000 1
Rh3 0.5000 0.2500 0.7500 1
Rh4 0.5000 0.7500 0.2500 1
Rh5 0.7500 0.2500 0.5000 1
Rh6 0.7500 0.5000 0.2500 1
```

Most intense lines, 15° ≤ 2θ ≤ 90°, in order of rising 2θ:
26.21°, I 43
32.25°, I 100
46.26°, I 13
50.21°, I 58
53.94°, I 24
60.94°, I 16
64.26°, I 14
76.79°, I 16
79.80°, I 15
88.69°, I 18

=====

> Number 2 is which compound?

Dy5Er12Th2